For CaLaGa3S7, a PBE-relaxed structure gives the simulated XRD peak list in this record (Cu Kα X-rays).
Kinematic intensities with the Lorentz-polarization factor, no thermal factor.

Most intense lines, 2θ = 5–70°, in order of rising 2θ:
| d [Å] | I_rel | (hkl) |
| --- | --- | --- |
| 4.609 | 31 | 1 1 1 |
| 3.826 | 20 | 1 2 0 |
| 3.558 | 100 | 1 2 -1 |
| 3.546 | 34 | 1 1 2 |
| 3.055 | 36 | 0 1 3 |
| 2.415 | 17 | 0 4 0 |
| 2.277 | 19 | 0 3 3 |
| 2.189 | 32 | 2 1 -3 |
| 2.182 | 32 | 2 1 3 |
| 1.725 | 21 | 1 5 2 |

Cell and atoms:
```
data_CaLaGa3S7
_cell_length_a 6.2555
_cell_length_b 9.6641
_cell_length_c 9.6572
_cell_angle_alpha 90.00
_cell_angle_beta 90.31
_cell_angle_gamma 90.00
_symmetry_space_group_name_H-M 'P 1 21 1'
_symmetry_Int_Tables_number 4
loop_
_symmetry_equiv_pos_as_xyz
'x,y,z'
'-x,y+1/2,-z'
loop_
_atom_site_label
_atom_site_type_symbol
_atom_site_fract_x
_atom_site_fract_y
_atom_site_fract_z
Ca1 Ca 0.0137 0.0000 0.4082
La1 La 0.0136 0.3112 0.0972
Ga1 Ga 0.4566 0.5058 0.8992
Ga2 Ga 0.4589 0.8057 0.5994
Ga3 Ga 0.4997 0.1553 0.7468
S1 S 0.1867 0.2976 0.3888
S2 S 0.1881 0.0139 0.1057
S3 S 0.2613 0.9946 0.6708
S4 S 0.2620 0.5759 0.0901
S5 S 0.2650 0.3131 0.8345
S6 S 0.2645 0.7394 0.4085
S7 S 0.2920 0.6531 0.7476
```



For MnIn2Se2S2, a PBE-relaxed structure gives the simulated XRD peak list in this record (Cu Kα X-rays).
Kinematic intensities with the Lorentz-polarization factor, no thermal factor.

Most intense lines, 2θ = 5–70°, in order of rising 2θ:
| d [Å] | I_rel | (hkl) |
| --- | --- | --- |
| 4.263 | 85 | 0 0 9 |
| 3.513 | 83 | 1 0 1 |
| 3.470 | 20 | 0 1 2 |
| 3.311 | 26 | 1 0 4 |
| 2.966 | 33 | 1 0 7 |
| 2.842 | 100 | 0 1 8 |
| 2.264 | 30 | 1 0 13 |
| 2.037 | 86 | 1 1 0 |
| 1.901 | 44 | 0 1 17 |
| 1.838 | 50 | 1 1 9 |

Cell and atoms:
```
data_MnIn2Se2S2
_cell_length_a 4.0735
_cell_length_b 4.0735
_cell_length_c 38.3670
_cell_angle_alpha 90.00
_cell_angle_beta 90.00
_cell_angle_gamma 120.00
_symmetry_space_group_name_H-M 'R 3 m'
_symmetry_Int_Tables_number 160
_symmetry_space_group_name_Hall 'R 3 -2"'
loop_
_atom_site_label
_atom_site_type_symbol
_atom_site_fract_x
_atom_site_fract_y
_atom_site_fract_z
Mn1 Mn 0.0000 0.0000 0.0000
In1 In 0.0000 0.0000 0.2358
In2 In 0.0000 0.0000 0.4655
Se1 Se 0.0000 0.0000 0.1006
Se2 Se 0.0000 0.0000 0.3553
S1 S 0.0000 0.0000 0.5307
S2 S 0.0000 0.0000 0.9356
```



For Mg6AlSi, a PBE-relaxed structure gives the simulated XRD peak list in this record (Cu Kα X-rays).
Kinematic intensities with the Lorentz-polarization factor, no thermal factor.

Most intense lines, 2θ = 5–70°, in order of rising 2θ:
| d [Å] | I_rel | (hkl) |
| --- | --- | --- |
| 2.643 | 12 | 0 0 4 |
| 2.632 | 23 | 0 2 2 |
| 2.577 | 44 | 2 0 0 |
| 2.352 | 50 | 1 0 4 |
| 2.344 | 100 | 1 2 2 |
| 1.845 | 8 | 2 0 4 |
| 1.841 | 15 | 2 2 2 |
| 1.524 | 16 | 0 2 6 |
| 1.517 | 8 | 0 4 0 |
| 1.439 | 30 | 3 2 2 |

Cell and atoms:
```
data_Mg6AlSi
_cell_length_a 5.1532
_cell_length_b 6.0688
_cell_length_c 10.5732
_cell_angle_alpha 90.00
_cell_angle_beta 90.00
_cell_angle_gamma 90.00
_symmetry_space_group_name_H-M 'A m m 2'
_symmetry_Int_Tables_number 38
loop_
_symmetry_equiv_pos_as_xyz
'x,y,z'
'-x,-y,z'
'-x,y,z'
'x,-y,z'
'x,y+1/2,z+1/2'
'-x,-y+1/2,z+1/2'
'-x,y+1/2,z+1/2'
'x,-y+1/2,z+1/2'
loop_
_atom_site_label
_atom_site_type_symbol
_atom_site_fract_x
_atom_site_fract_y
_atom_site_fract_z
Mg1 Mg 0.0000 0.0000 0.0000
Mg2 Mg 0.0000 0.2453 0.2532
Mg3 Mg 0.5000 0.0000 0.8348
Mg4 Mg 0.5000 0.2472 0.5824
Al1 Al 0.0000 0.0000 0.4983
Si1 Si 0.5000 0.0000 0.3358
```



For CaPtF6, a PBE-relaxed structure gives the simulated XRD peak list in this record (Cu Kα X-rays).
Kinematic intensities with the Lorentz-polarization factor, no thermal factor.

Most intense lines, 2θ = 5–70°, in order of rising 2θ:
| d [Å] | I_rel | (hkl) |
| --- | --- | --- |
| 4.961 | 23 | 0 0 3 |
| 4.485 | 55 | 1 0 1 |
| 3.976 | 100 | 0 1 2 |
| 2.918 | 36 | 1 0 4 |
| 2.716 | 19 | 1 1 0 |
| 2.382 | 25 | 1 1 3 |
| 2.242 | 15 | 2 0 2 |
| 1.988 | 16 | 0 2 4 |
| 1.832 | 30 | 1 1 6 |
| 1.729 | 24 | 1 2 2 |

Cell and atoms:
```
data_CaPtF6
_cell_length_a 5.4310
_cell_length_b 5.4310
_cell_length_c 14.8839
_cell_angle_alpha 90.00
_cell_angle_beta 90.00
_cell_angle_gamma 120.00
_symmetry_space_group_name_H-M 'R -3'
_symmetry_Int_Tables_number 148
_symmetry_space_group_name_Hall '-R 3'
loop_
_atom_site_label
_atom_site_type_symbol
_atom_site_fract_x
_atom_site_fract_y
_atom_site_fract_z
Ca1 Ca 0.0000 0.0000 0.0000
Pt1 Pt 0.0000 0.0000 0.5000
F1 F 0.0162 0.7142 0.5775
```



For AlI3N5, a PBE-relaxed structure gives the simulated XRD peak list in this record (Cu Kα X-rays).
Kinematic intensities with the Lorentz-polarization factor, no thermal factor.

Most intense lines, 2θ = 5–70°, in order of rising 2θ:
| d [Å] | I_rel | (hkl) |
| --- | --- | --- |
| 4.913 | 20 | 1 1 1 |
| 3.424 | 100 | 0 2 2 |
| 3.164 | 15 | 1 3 1 |
| 3.020 | 58 | 2 2 0 |
| 2.924 | 19 | 0 4 0 |
| 2.707 | 41 | 2 0 2 |
| 2.112 | 14 | 0 0 4 |
| 1.986 | 38 | 2 4 2 |
| 1.731 | 23 | 2 2 4 |
| 1.567 | 16 | 4 2 2 |

Cell and atoms:
```
data_AlI3N5
_cell_length_a 7.0520
_cell_length_b 11.6952
_cell_length_c 8.4477
_cell_angle_alpha 90.00
_cell_angle_beta 90.00
_cell_angle_gamma 90.00
_symmetry_space_group_name_H-M 'C m c m'
_symmetry_Int_Tables_number 63
_symmetry_space_group_name_Hall '-C 2c 2'
loop_
_atom_site_label
_atom_site_type_symbol
_atom_site_fract_x
_atom_site_fract_y
_atom_site_fract_z
Al1 Al 0.0000 0.1916 0.2500
I1 I 0.0000 0.2439 0.7500
I2 I 0.2291 0.0000 0.0000
N1 N 0.0000 0.0991 0.0655
N2 N 0.0000 0.3559 0.2500
N3 N 0.2154 0.3472 0.7500
```



For Nb5Ni, a PBE-relaxed structure gives the simulated XRD peak list in this record (Cu Kα X-rays).
Kinematic intensities with the Lorentz-polarization factor, no thermal factor.

Most intense lines, 2θ = 5–70°, in order of rising 2θ:
| d [Å] | I_rel | (hkl) |
| --- | --- | --- |
| 3.444 | 6 | 2 2 2 |
| 2.737 | 7 | 3 3 1 |
| 2.435 | 33 | 4 2 2 |
| 2.296 | 100 | 3 3 3 |
| 2.109 | 21 | 4 4 0 |
| 1.988 | 8 | 4 4 2 |
| 1.671 | 4 | 7 1 1 |
| 1.553 | 7 | 5 5 3 |
| 1.406 | 32 | 6 6 0 |
| 1.378 | 8 | 5 5 5 |

Cell and atoms:
a b c (Å): 11.9301 11.9301 11.9301
angles (deg): 90.00 90.00 90.00
Space group Fd-3m (No. 227, origin choice 2)
Asymmetric unit:
Nb (0.0356, 0.0356, 0.2144) [32 per cell]
Nb (0.0594, 0.3750, 0.8750) [48 per cell]
Ni (0.0000, 0.0000, 0.0000) [16 per cell]



- What is the formula in the first record?
  CaLaGa3S7



Please write out number 3 again, unchanged.
For Mg6AlSi, a PBE-relaxed structure gives the simulated XRD peak list in this record (Cu Kα X-rays).
Kinematic intensities with the Lorentz-polarization factor, no thermal factor.

Most intense lines, 2θ = 5–70°, in order of rising 2θ:
| d [Å] | I_rel | (hkl) |
| --- | --- | --- |
| 2.643 | 12 | 0 0 4 |
| 2.632 | 23 | 0 2 2 |
| 2.577 | 44 | 2 0 0 |
| 2.352 | 50 | 1 0 4 |
| 2.344 | 100 | 1 2 2 |
| 1.845 | 8 | 2 0 4 |
| 1.841 | 15 | 2 2 2 |
| 1.524 | 16 | 0 2 6 |
| 1.517 | 8 | 0 4 0 |
| 1.439 | 30 | 3 2 2 |

Cell and atoms:
```
data_Mg6AlSi
_cell_length_a 5.1532
_cell_length_b 6.0688
_cell_length_c 10.5732
_cell_angle_alpha 90.00
_cell_angle_beta 90.00
_cell_angle_gamma 90.00
_symmetry_space_group_name_H-M 'A m m 2'
_symmetry_Int_Tables_number 38
loop_
_symmetry_equiv_pos_as_xyz
'x,y,z'
'-x,-y,z'
'-x,y,z'
'x,-y,z'
'x,y+1/2,z+1/2'
'-x,-y+1/2,z+1/2'
'-x,y+1/2,z+1/2'
'x,-y+1/2,z+1/2'
loop_
_atom_site_label
_atom_site_type_symbol
_atom_site_fract_x
_atom_site_fract_y
_atom_site_fract_z
Mg1 Mg 0.0000 0.0000 0.0000
Mg2 Mg 0.0000 0.2453 0.2532
Mg3 Mg 0.5000 0.0000 0.8348
Mg4 Mg 0.5000 0.2472 0.5824
Al1 Al 0.0000 0.0000 0.4983
Si1 Si 0.5000 0.0000 0.3358
```



- Which formula does entry 1 have?
  CaLaGa3S7